Structure and computed PXRD pattern of Te3MoC (a PBE-relaxed structure; CuKα).
Kinematic intensities with the Lorentz-polarization factor, no thermal factor.

Principal peaks in the range 2θ from 10° to 90°, sorted by position:
- 32.93 deg, intensity 100.0
- 38.21 deg, intensity 54.5
- 55.14 deg, intensity 36.7
- 65.74 deg, intensity 40.0
- 69.06 deg, intensity 12.3
- 81.77 deg, intensity 5.8

```
Te3MoC
1.0
4.7112 0.0000 0.0000
0.0000 4.7112 0.0000
0.0000 0.0000 4.7112
Te Mo C
3 1 1
Direct
0.0000 0.0000 0.5000
0.0000 0.5000 0.0000
0.5000 0.0000 0.0000
0.5000 0.5000 0.5000
0.0000 0.0000 0.0000
```

***

Structure and computed PXRD pattern of ThMo2C2 (a PBE-relaxed structure; CuKα).
Kinematic intensities with the Lorentz-polarization factor, no thermal factor.

Principal peaks in the range 2θ from 10° to 90°, sorted by position:
- 31.65 deg, intensity 26.1
- 31.94 deg, intensity 100.0
- 32.96 deg, intensity 87.9
- 39.63 deg, intensity 31.4
- 43.60 deg, intensity 45.2
- 49.38 deg, intensity 28.4

```
ThMo2C2
1.0
0.0000 4.5487 4.6610
3.5564 0.0000 4.6610
3.5564 4.5487 0.0000
Th Mo C
2 4 4
Direct
0.1250 0.1250 0.1250
0.8750 0.8750 0.8750
0.2328 0.2328 0.5172
0.4828 0.4828 0.7672
0.5172 0.5172 0.2328
0.7672 0.7672 0.4828
0.1738 0.5762 0.1738
0.4238 0.8262 0.4238
0.5762 0.1738 0.5762
0.8262 0.4238 0.8262
```

***

Structure and computed PXRD pattern of TiMoC (a PBE-relaxed structure; CuKα).
Kinematic intensities with the Lorentz-polarization factor, no thermal factor.

Principal peaks in the range 2θ from 10° to 90°, sorted by position:
- 15.12 deg, intensity 55.5
- 35.90 deg, intensity 100.0
- 36.98 deg, intensity 89.8
- 41.48 deg, intensity 43.4
- 42.75 deg, intensity 77.2
- 61.09 deg, intensity 49.6

```
TiMoC
1.0
3.0558 0.0000 0.0000
0.0000 4.3538 0.0000
0.0000 0.0000 5.8612
Ti Mo C
2 2 2
Direct
0.2500 0.2500 0.1214
0.7500 0.7500 0.8786
0.2500 0.2500 0.6099
0.7500 0.7500 0.3901
0.2500 0.7500 0.6375
0.7500 0.2500 0.3625
```

***

Structure and computed PXRD pattern of V3MoC (a PBE-relaxed structure; CuKα).
Kinematic intensities with the Lorentz-polarization factor, no thermal factor.

Principal peaks in the range 2θ from 10° to 90°, sorted by position:
- 32.81 deg, intensity 13.2
- 39.26 deg, intensity 100.0
- 42.71 deg, intensity 42.1
- 47.08 deg, intensity 28.8
- 57.65 deg, intensity 16.1
- 65.42 deg, intensity 20.7

```
V3MoC
1.0
5.4591 0.0000 0.0000
0.0000 5.4591 0.0000
0.0000 0.0000 4.2364
V Mo C
6 2 2
Direct
0.0000 0.0000 0.0000
0.1915 0.3085 0.5000
0.3085 0.8085 0.5000
0.5000 0.5000 0.0000
0.6915 0.1915 0.5000
0.8085 0.6915 0.5000
0.0000 0.5000 0.0000
0.5000 0.0000 0.0000
0.0000 0.0000 0.5000
0.5000 0.5000 0.5000
```

***

Structure and computed PXRD pattern of Mo3WC (a PBE-relaxed structure; CuKα).
Kinematic intensities with the Lorentz-polarization factor, no thermal factor.

Principal peaks in the range 2θ from 10° to 90°, sorted by position:
- 30.43 deg, intensity 10.6
- 37.49 deg, intensity 100.0
- 43.57 deg, intensity 53.0
- 63.31 deg, intensity 34.1
- 75.96 deg, intensity 37.9
- 80.00 deg, intensity 11.8

```
Mo3WC
1.0
4.1547 0.0000 0.0000
0.0000 4.1547 0.0000
0.0000 0.0000 4.1547
Mo W C
3 1 1
Direct
0.0000 0.0000 0.5000
0.0000 0.5000 0.0000
0.5000 0.0000 0.0000
0.5000 0.5000 0.5000
0.0000 0.0000 0.0000
```

***

Structure and computed PXRD pattern of ZrMo2C (a PBE-relaxed structure; CuKα).
Kinematic intensities with the Lorentz-polarization factor, no thermal factor.

Principal peaks in the range 2θ from 10° to 90°, sorted by position:
- 33.02 deg, intensity 33.6
- 35.89 deg, intensity 96.2
- 39.83 deg, intensity 100.0
- 44.01 deg, intensity 52.0
- 71.15 deg, intensity 25.0
- 71.47 deg, intensity 23.7

```
ZrMo2C
1.0
3.1244 0.0000 0.0000
0.0000 3.4414 0.0000
0.0000 0.0000 10.9359
Zr Mo C
2 4 2
Direct
0.0000 0.0000 0.0000
0.0000 0.5000 0.5000
0.0000 0.0000 0.2917
0.0000 0.5000 0.7917
0.5000 0.0000 0.6682
0.5000 0.5000 0.1682
0.5000 0.0000 0.4580
0.5000 0.5000 0.9580
```